Entry 1:
The following is a computed PXRD pattern of Li5OsO4. It was derived from a crystal structure in OQMD, relaxed with GGA-PBE, using Cu Kα X-rays.
Neutral-atom scattering factors, no anomalous dispersion.

Cell and atoms:
```
Li5OsO4
1.0
5.0152 0.0000 0.0000
0.0000 3.1249 0.0000
-0.0607 0.0000 5.4280
Li Os O
5 1 4
Cartesian
0.0000 0.0000 0.0000 Li
1.7183 1.5625 0.8323 Li
1.8053 0.0000 3.6743 Li
3.1491 0.0000 1.7537 Li
3.2362 1.5625 4.5957 Li
-0.0304 1.5625 2.7140 Os
1.1428 0.0000 1.8410 O
1.1876 1.5625 4.4738 O
3.7669 1.5625 0.9542 O
3.8117 0.0000 3.5870 O
```

Main lines, sorted by position (2θ from 10° to 80°):
| two_theta | d_spacing | I (rel.) |
| --- | --- | --- |
| 16.3 | 5.428 | 100 |
| 17.7 | 5.015 | 84 |
| 24.0 | 3.704 | 42 |
| 24.3 | 3.663 | 39 |
| 28.6 | 3.125 | 26 |
| 33.1 | 2.710 | 36 |
| 33.8 | 2.652 | 33 |
| 37.7 | 2.389 | 44 |
| 37.9 | 2.377 | 39 |
| 49.7 | 1.833 | 25 |


Entry 2:
The following is a computed PXRD pattern of Li6Os2O7. It was derived from a crystal structure in OQMD, relaxed with GGA-PBE, using Cu Kα X-rays.
Neutral-atom scattering factors, no anomalous dispersion.

Cell and atoms:
```
Li6Os2O7
1.0
4.9763 0.0000 0.0000
0.7327 4.9505 0.0000
1.7528 -0.2101 5.6535
Li Os O
6 2 7
Cartesian
1.8041 1.7307 1.8219 Li
2.7939 1.6900 4.6666 Li
2.7744 4.4522 3.1919 Li
4.6874 0.2882 2.4616 Li
4.6678 3.0504 0.9869 Li
5.6576 3.0097 3.8315 Li
2.1590 4.3298 0.3316 Os
5.3028 0.4106 5.3219 Os
2.1662 3.6335 5.0007 O
1.3490 3.5885 2.0116 O
3.7485 -0.1453 4.1331 O
2.8545 2.4752 0.0000 O
3.7133 4.8857 1.5203 O
6.1128 1.1519 3.6419 O
5.2955 1.1069 0.6527 O
```

Main lines, sorted by position (2θ from 10° to 80°):
| two_theta | d_spacing | I (rel.) |
| --- | --- | --- |
| 15.7 | 5.653 | 100 |
| 17.9 | 4.947 | 47 |
| 20.7 | 4.298 | 19 |
| 24.3 | 3.656 | 29 |
| 28.1 | 3.176 | 22 |
| 29.0 | 3.081 | 20 |
| 31.7 | 2.824 | 20 |
| 40.0 | 2.256 | 14 |
| 43.9 | 2.064 | 15 |
| 44.2 | 2.050 | 20 |


Entry 3:
The following is a computed PXRD pattern of Li4OsPbO6. It was derived from a crystal structure in OQMD, relaxed with GGA-PBE, using Cu Kα X-rays.
Neutral-atom scattering factors, no anomalous dispersion.

Cell and atoms:
```
Li4OsPbO6
1.0
2.7239 -4.7496 0.0000
2.7239 4.7496 0.0000
-1.7787 0.0000 4.8258
Li Os Pb O
4 1 1 6
Cartesian
0.0000 0.0000 0.0000 Li
1.8346 3.1281 2.4129 Li
1.8346 0.2148 2.4129 Li
1.8346 -3.2794 2.4129 Li
2.7239 1.5856 0.0000 Os
2.7239 -1.5631 0.0000 Pb
1.0902 1.5210 1.1105 O
0.0963 0.2052 3.6551 O
0.7439 -1.7384 1.1614 O
2.5790 1.5210 3.7153 O
3.5729 0.2052 1.1707 O
2.9252 -1.7384 3.6644 O
```

Main lines, sorted by position (2θ from 10° to 80°):
| two_theta | d_spacing | I (rel.) |
| --- | --- | --- |
| 18.4 | 4.826 | 100 |
| 18.7 | 4.750 | 23 |
| 19.7 | 4.501 | 43 |
| 22.5 | 3.945 | 32 |
| 26.3 | 3.385 | 20 |
| 33.3 | 2.692 | 45 |
| 33.5 | 2.673 | 23 |
| 35.1 | 2.557 | 41 |
| 41.3 | 2.187 | 44 |
| 41.7 | 2.168 | 21 |


Entry 4:
The following is a computed PXRD pattern of LiYOs3O8. It was derived from a crystal structure in OQMD, relaxed with GGA-PBE, using Cu Kα X-rays.
Neutral-atom scattering factors, no anomalous dispersion.

Cell and atoms:
```
LiYOs3O8
1.0
5.8261 0.0000 0.0000
-2.9130 5.0455 0.0000
0.0000 0.0000 5.0898
Li Y Os O
1 1 3 8
Cartesian
0.0000 0.0000 0.0000 Li
2.9130 1.6818 0.2747 Y
0.0000 1.8478 2.8803 Os
-1.3128 4.1216 2.8803 Os
1.3128 4.1216 2.8803 Os
0.0000 0.0000 1.9299 O
-1.3697 2.5729 1.5808 O
1.3792 0.7963 3.9549 O
0.0000 3.3637 4.2308 O
1.3697 2.5729 1.5808 O
0.0000 4.9453 1.5808 O
4.4468 0.7963 3.9549 O
2.9130 3.4529 3.9549 O
```

Main lines, sorted by position (2θ from 10° to 80°):
| two_theta | d_spacing | I (rel.) |
| --- | --- | --- |
| 17.4 | 5.090 | 98 |
| 17.6 | 5.046 | 20 |
| 24.8 | 3.583 | 93 |
| 35.3 | 2.545 | 21 |
| 35.6 | 2.524 | 100 |
| 39.9 | 2.260 | 67 |
| 51.0 | 1.792 | 74 |
| 51.2 | 1.786 | 30 |
| 63.9 | 1.457 | 19 |
| 66.4 | 1.408 | 17 |


Entry 5:
The following is a computed PXRD pattern of LiY2OsO6. It was derived from a crystal structure in OQMD, relaxed with GGA-PBE, using Cu Kα X-rays.
Neutral-atom scattering factors, no anomalous dispersion.

Cell and atoms:
```
LiY2OsO6
1.0
5.2829 0.0000 0.0000
0.0000 5.7075 0.0000
-5.1668 0.0000 7.5793
Li Y Os O
2 4 2 12
Cartesian
0.0000 0.0000 0.0000 Li
-2.5834 2.8537 3.7896 Li
-2.6705 0.4493 5.6704 Y
-0.0871 2.4044 1.8808 Y
0.2031 3.3031 5.6985 Y
2.7865 5.2581 1.9089 Y
0.0580 0.0000 3.7896 Os
2.6414 2.8537 0.0000 Os
-1.5708 1.0452 3.3680 O
-4.1542 1.8086 7.1576 O
-0.8684 4.0157 3.3163 O
-3.4518 4.5455 7.1060 O
0.6609 0.2488 1.9246 O
-1.9226 2.6049 5.7142 O
2.0386 3.1026 1.8651 O
-0.5449 5.4587 5.6547 O
3.5678 1.1619 0.4733 O
0.9844 1.6918 4.2630 O
4.2702 3.8989 0.4217 O
1.6868 4.6623 4.2113 O
```

Main lines, sorted by position (2θ from 10° to 80°):
| two_theta | d_spacing | I (rel.) |
| --- | --- | --- |
| 19.5 | 4.559 | 100 |
| 20.3 | 4.365 | 32 |
| 20.6 | 4.303 | 53 |
| 31.3 | 2.854 | 32 |
| 32.9 | 2.725 | 79 |
| 33.2 | 2.695 | 78 |
| 33.9 | 2.641 | 38 |
| 39.3 | 2.294 | 37 |
| 46.9 | 1.938 | 30 |
| 48.0 | 1.894 | 30 |


Entry 6:
The following is a computed PXRD pattern of Li2P2PdO7. It was derived from a crystal structure in OQMD, relaxed with GGA-PBE, using Cu Kα X-rays.
Neutral-atom scattering factors, no anomalous dispersion.

Cell and atoms:
```
Li2P2PdO7
1.0
-3.6080 6.3584 2.9532
3.6080 -6.3584 2.9532
3.6080 6.3584 -2.9532
Li P Pd O
4 4 2 14
Cartesian
1.8040 6.6021 -1.4766 Li
1.8040 0.2437 1.4766 Li
-1.8040 6.1148 1.4766 Li
1.8040 6.1148 1.4766 Li
3.6080 1.7464 -0.6378 P
3.6080 4.6121 -0.6378 P
0.0000 1.7464 3.5909 P
0.0000 4.6121 3.5909 P
-1.8040 3.1792 1.4766 Pd
1.8040 3.1792 1.4766 Pd
3.6080 3.1792 -1.3897 O
2.3059 1.6903 0.2010 O
4.9100 1.6903 0.2010 O
3.6080 5.7405 -1.6264 O
3.6080 -0.6179 1.6264 O
2.3059 4.6682 0.2010 O
1.3021 -1.6903 3.1542 O
2.3059 8.0487 -0.2010 O
1.3021 1.6903 2.7521 O
0.0000 6.9764 1.3268 O
0.0000 0.6179 4.5795 O
-1.3021 4.6682 2.7521 O
1.3021 4.6682 2.7521 O
0.0000 3.1792 4.3429 O
```

Main lines, sorted by position (2θ from 10° to 80°):
| two_theta | d_spacing | I (rel.) |
| --- | --- | --- |
| 13.9 | 6.358 | 55 |
| 16.5 | 5.357 | 25 |
| 19.4 | 4.571 | 29 |
| 25.9 | 3.444 | 39 |
| 28.4 | 3.138 | 20 |
| 29.9 | 2.992 | 100 |
| 41.7 | 2.164 | 29 |
| 42.0 | 2.151 | 14 |
| 57.6 | 1.599 | 18 |
| 65.3 | 1.429 | 20 |


Entry 7:
The following is a computed PXRD pattern of LiPPdO4. It was derived from a crystal structure in OQMD, relaxed with GGA-PBE, using Cu Kα X-rays.
Neutral-atom scattering factors, no anomalous dispersion.

Cell and atoms:
```
LiPPdO4
1.0
-2.8414 2.8414 5.3300
2.8414 -2.8414 5.3300
2.8414 2.8414 -5.3300
Li P Pd O
2 2 2 8
Cartesian
0.0000 0.0000 2.6650 Li
0.0000 0.0000 7.9950 Li
2.8414 0.0000 2.6650 P
0.0000 2.8414 2.6650 P
2.8414 0.0000 0.0000 Pd
0.0000 2.8414 0.0000 Pd
1.9866 -0.8548 1.6757 O
3.6962 -0.8548 3.6543 O
3.6962 0.8548 1.6757 O
1.9866 0.8548 3.6543 O
0.8548 1.9866 1.6757 O
-0.8548 1.9866 3.6543 O
-0.8548 3.6962 1.6757 O
0.8548 3.6962 3.6543 O
```

Main lines, sorted by position (2θ from 10° to 80°):
| two_theta | d_spacing | I (rel.) |
| --- | --- | --- |
| 22.1 | 4.018 | 100 |
| 27.8 | 3.209 | 23 |
| 31.5 | 2.841 | 24 |
| 35.8 | 2.507 | 14 |
| 40.6 | 2.221 | 22 |
| 45.1 | 2.009 | 13 |
| 46.7 | 1.944 | 25 |
| 53.8 | 1.703 | 13 |
| 57.4 | 1.604 | 11 |
| 62.3 | 1.490 | 20 |


Entry 8:
The following is a computed PXRD pattern of LiPrPO. It was derived from a crystal structure in OQMD, relaxed with GGA-PBE, using Cu Kα X-rays.
Neutral-atom scattering factors, no anomalous dispersion.

Cell and atoms:
```
LiPrPO
1.0
4.9162 0.0000 0.0000
0.0000 4.0665 0.0000
0.0000 0.0000 6.6904
Li Pr P O
2 2 2 2
Cartesian
1.2290 0.0000 1.2633 Li
3.6871 0.0000 5.4271 Li
1.2290 2.0333 5.1316 Pr
3.6871 2.0333 1.5587 Pr
0.0000 0.0000 3.3452 P
2.4581 0.0000 3.3452 P
1.2290 2.0333 0.7650 O
3.6871 2.0333 5.9254 O
```

Main lines, sorted by position (2θ from 10° to 80°):
| two_theta | d_spacing | I (rel.) |
| --- | --- | --- |
| 21.9 | 4.067 | 51 |
| 22.4 | 3.962 | 100 |
| 26.6 | 3.345 | 25 |
| 31.5 | 2.838 | 100 |
| 34.7 | 2.583 | 57 |
| 43.0 | 2.104 | 39 |
| 44.6 | 2.032 | 42 |
| 45.8 | 1.981 | 28 |
| 50.2 | 1.817 | 33 |
| 50.5 | 1.809 | 24 |


Entry 9:
The following is a computed PXRD pattern of LiPrP4O12. It was derived from a crystal structure in OQMD, relaxed with GGA-PBE, using Cu Kα X-rays.
Neutral-atom scattering factors, no anomalous dispersion.

Cell and atoms:
```
LiPrP4O12
1.0
8.1763 -3.5110 0.0000
8.1763 3.5110 0.0000
-5.6772 0.0000 7.8289
Li Pr P O
2 2 8 24
Cartesian
3.9184 2.0965 5.8716 Li
6.7570 -2.0965 1.9572 Li
6.7570 1.4167 1.9572 Pr
3.9184 -1.4167 5.8716 Pr
1.3373 0.4053 1.2942 P
3.4351 1.0944 3.1539 P
-1.5013 -0.4053 5.2086 P
10.0788 1.0944 0.7605 P
0.5965 -1.0944 7.0683 P
12.1766 0.4053 2.6202 P
7.2403 -1.0944 4.6750 P
9.3380 -0.4053 6.5347 P
-0.6805 0.8252 4.5962 O
-0.0974 0.0275 1.5605 O
-2.9360 -0.0275 5.4750 O
0.8717 1.9247 7.4004 O
1.9788 0.5742 2.7602 O
4.4451 0.7806 2.0983 O
2.1581 -0.8252 0.6818 O
-0.8598 -0.5742 6.6746 O
3.6893 0.6836 4.5738 O
6.9650 1.9247 4.3429 O
4.1475 0.6836 7.1695 O
1.6065 -0.7806 6.0127 O
9.0688 0.7806 1.8162 O
6.5279 -0.6836 0.6594 O
3.7103 -1.9247 3.4860 O
6.9861 -0.6836 3.2550 O
11.5352 0.5742 1.1543 O
8.5172 0.8252 7.1471 O
6.2302 -0.7806 5.7306 O
8.6966 -0.5742 5.0687 O
9.8036 -1.9247 0.4285 O
13.6113 0.0275 2.3539 O
10.7727 -0.0275 6.2683 O
11.3558 -0.8252 3.2326 O
```

Main lines, sorted by position (2θ from 10° to 80°):
| two_theta | d_spacing | I (rel.) |
| --- | --- | --- |
| 13.4 | 6.619 | 36 |
| 15.6 | 5.682 | 39 |
| 20.6 | 4.315 | 100 |
| 22.7 | 3.914 | 26 |
| 22.8 | 3.895 | 51 |
| 23.4 | 3.809 | 26 |
| 27.9 | 3.203 | 39 |
| 30.5 | 2.930 | 26 |
| 31.3 | 2.858 | 26 |
| 32.7 | 2.738 | 33 |


Entry 10:
The following is a computed PXRD pattern of Li4ZnP2O8. It was derived from a crystal structure in OQMD, relaxed with GGA-PBE, using Cu Kα X-rays.
Neutral-atom scattering factors, no anomalous dispersion.

Cell and atoms:
```
Li4ZnP2O8
1.0
8.0482 0.0000 0.0000
0.0000 10.1987 0.0000
-2.0563 0.0000 7.7991
Li Zn P O
16 4 8 32
Cartesian
0.1256 0.0000 0.1616 Li
-0.9964 2.6536 6.5636 Li
0.0468 0.7766 2.7140 Li
-0.6300 7.7398 7.0422 Li
2.5975 0.8828 0.7630 Li
1.9212 7.8427 5.0889 Li
2.9661 5.9623 1.2486 Li
1.8388 8.6233 7.6384 Li
4.1531 3.5239 0.1607 Li
3.0258 0.8630 6.5505 Li
4.0707 2.7434 2.7101 Li
3.3944 5.9822 7.0360 Li
6.6219 2.6405 0.7569 Li
5.9451 5.8759 5.0851 Li
6.9883 7.7530 1.2354 Li
5.8663 5.0994 7.6374 Li
0.4459 5.9120 3.2132 Zn
1.5216 2.7094 4.5940 Zn
4.4703 7.8088 3.2050 Zn
5.5460 0.8126 4.5859 Zn
0.2350 0.1215 5.6722 P
1.3348 3.3819 1.6186 P
0.6320 5.2434 6.1848 P
1.7301 8.4963 2.1297 P
4.2617 3.3969 5.6694 P
5.3599 0.1441 1.6143 P
4.6571 8.4813 6.1805 P
5.7569 5.2209 2.1269 P
0.3499 3.2930 0.4294 O
-0.6658 0.1915 4.3987 O
-0.7344 5.8681 6.5441 O
0.4201 7.7240 2.4526 O
-0.5139 0.7942 6.8541 O
0.6973 2.6270 2.8182 O
1.3703 9.9472 1.7620 O
0.4160 3.7415 5.8377 O
1.5493 4.8825 1.9668 O
0.5970 8.8691 6.0385 O
1.2739 5.9962 4.9848 O
2.4795 7.8256 0.9457 O
1.5437 0.8936 5.3436 O
2.6994 2.7563 1.2519 O
2.6303 8.4228 3.4018 O
1.6150 5.3326 7.3754 O
4.3769 0.2332 0.4237 O
3.3616 3.3234 4.3973 O
3.2925 7.8557 6.5472 O
4.4482 5.9929 2.4555 O
3.5124 2.7263 6.8533 O
4.7180 0.8968 2.8143 O
5.3949 3.7697 1.7606 O
4.4426 9.9818 5.8322 O
5.5759 8.8408 1.9613 O
4.6216 4.8479 6.0371 O
5.2946 7.7264 4.9809 O
6.5058 5.8935 0.9450 O
5.5718 2.6247 5.3465 O
6.7263 0.7687 1.2550 O
6.6577 5.2909 3.4004 O
5.6420 8.3924 7.3697 O
```

Main lines, sorted by position (2θ from 10° to 80°):
| two_theta | d_spacing | I (rel.) |
| --- | --- | --- |
| 11.3 | 7.799 | 37 |
| 14.3 | 6.191 | 53 |
| 20.8 | 4.266 | 33 |
| 22.3 | 3.984 | 82 |
| 22.8 | 3.894 | 100 |
| 24.4 | 3.643 | 73 |
| 33.1 | 2.705 | 60 |
| 35.0 | 2.563 | 30 |
| 35.2 | 2.550 | 45 |
| 36.5 | 2.459 | 55 |